No. 1
# Mn3Pb
Calculated powder X-ray diffraction pattern, a wavelength of 1.5418 Å. Input: a crystal structure in Alexandria, relaxed with PBE.
No peak broadening, texture or thermal motion is included.

Largest 6 diffraction maxima, sorted by position, 2θ from 10° to 80°:
- 24.5 deg, I 685
- 34.9 deg, I 448
- 39.1 deg, I 237
- 43.0 deg, I 1000
- 56.5 deg, I 158
- 68.2 deg, I 510

Structure:
Cell: 5.148 5.148 5.148 Å, 90.00 90.00 90.00°
Space group Pm-3n (No. 223)
Symmetry-distinct sites (fractional):
Mn: 0.000 0.250 0.500
Pb: 0.000 0.000 0.000

No. 2
# Mn3Pb
Calculated powder X-ray diffraction pattern, a wavelength of 1.5418 Å. Input: a crystal structure in Alexandria, relaxed with PBE.
No peak broadening, texture or thermal motion is included.

Largest 6 diffraction maxima, sorted by position, 2θ from 10° to 80°:
- 13.5 deg, I 294
- 28.6 deg, I 218
- 31.7 deg, I 540
- 39.9 deg, I 1000
- 40.8 deg, I 541
- 73.7 deg, I 316

Structure:
Cell: 3.126 3.126 6.546 Å, 90.00 90.00 90.00°
Space group P4/mmm (No. 123)
Symmetry-distinct sites (fractional):
Mn: 0.000 0.000 0.000
Mn: 0.500 0.500 0.194
Pb: 0.000 0.000 0.500

No. 3
# Mn2Pb
Calculated powder X-ray diffraction pattern, a wavelength of 1.5418 Å. Input: a crystal structure in Alexandria, relaxed with PBE.
No peak broadening, texture or thermal motion is included.

Largest 6 diffraction maxima, sorted by position, 2θ from 10° to 80°:
- 25.4 deg, I 274
- 28.1 deg, I 226
- 37.5 deg, I 1000
- 43.0 deg, I 203
- 43.8 deg, I 274
- 63.1 deg, I 181

Structure:
Cell: 5.847 4.204 8.751 Å, 90.00 90.00 90.00°
Space group Pnma (No. 62)
Symmetry-distinct sites (fractional):
Mn: 0.102 0.250 0.238
Mn: 0.132 0.250 0.562
Pb: 0.157 0.250 0.891

No. 4
# Mn3Pb
Calculated powder X-ray diffraction pattern, a wavelength of 1.5418 Å. Input: a crystal structure in Alexandria, relaxed with PBE.
No peak broadening, texture or thermal motion is included.

Largest 6 diffraction maxima, sorted by position, 2θ from 10° to 80°:
- 25.0 deg, I 438
- 26.0 deg, I 306
- 36.3 deg, I 367
- 39.3 deg, I 442
- 40.0 deg, I 728
- 41.5 deg, I 1000

Structure:
Cell: 4.587 5.637 5.174 Å, 90.00 90.00 90.00°
Space group Pmmn (No. 59, origin choice 2)
Symmetry-distinct sites (fractional):
Mn: 0.250 0.000 0.141
Mn: 0.250 0.250 0.682
Pb: 0.250 0.750 0.649

No. 5
# MnPb2
Calculated powder X-ray diffraction pattern, a wavelength of 1.5418 Å. Input: a crystal structure in Alexandria, relaxed with PBE.
No peak broadening, texture or thermal motion is included.

Largest 6 diffraction maxima, sorted by position, 2θ from 10° to 80°:
- 25.6 deg, I 736
- 26.5 deg, I 339
- 36.6 deg, I 524
- 37.2 deg, I 1000
- 45.7 deg, I 330
- 66.3 deg, I 376

Structure:
Cell: 4.915 4.915 3.361 Å, 90.00 90.00 90.00°
Space group P4/mmm (No. 123)
Symmetry-distinct sites (fractional):
Mn: 0.000 0.000 0.000
Pb: 0.000 0.500 0.500

No. 6
# MnPb
Calculated powder X-ray diffraction pattern, a wavelength of 1.5418 Å. Input: a crystal structure in Alexandria, relaxed with PBE.
No peak broadening, texture or thermal motion is included.

Largest 6 diffraction maxima, sorted by position, 2θ from 10° to 80°:
- 24.7 deg, I 380
- 26.0 deg, I 384
- 31.2 deg, I 677
- 32.0 deg, I 480
- 32.3 deg, I 1000
- 41.7 deg, I 483

Structure:
Cell: 4.336 8.174 7.650 Å, 90.00 90.00 90.00°
Space group Pmmn (No. 59, origin choice 2)
Symmetry-distinct sites (fractional):
Mn: 0.250 0.084 0.095
Mn: 0.250 0.250 0.394
Pb: 0.250 0.012 0.681
Pb: 0.250 0.750 0.050

No. 7
# MnPb2
Calculated powder X-ray diffraction pattern, a wavelength of 1.5418 Å. Input: a crystal structure in Alexandria, relaxed with PBE.
No peak broadening, texture or thermal motion is included.

Largest 6 diffraction maxima, sorted by position, 2θ from 10° to 80°:
- 25.6 deg, I 586
- 26.7 deg, I 926
- 31.1 deg, I 479
- 35.0 deg, I 1000
- 38.4 deg, I 777
- 39.6 deg, I 465

Structure:
Cell: 3.362 3.362 27.801 Å, 90.00 90.00 90.00°
Space group I4_1/amd (No. 141, origin choice 2)
Symmetry-distinct sites (fractional):
Mn: 0.000 0.250 0.375
Pb: 0.000 0.250 0.807

No. 8
# MnRePb2
Calculated powder X-ray diffraction pattern, a wavelength of 1.5418 Å. Input: a crystal structure in Alexandria, relaxed with PBE.
No peak broadening, texture or thermal motion is included.

Largest 6 diffraction maxima, sorted by position, 2θ from 10° to 80°:
- 28.7 deg, I 468
- 30.8 deg, I 810
- 35.1 deg, I 1000
- 41.4 deg, I 725
- 41.8 deg, I 726
- 51.5 deg, I 385

Structure:
Cell: 3.058 3.058 9.322 Å, 90.00 90.00 90.00°
Space group P4mm (No. 99)
Symmetry-distinct sites (fractional):
Mn: 0.000 0.000 0.000
Re: 0.500 0.500 0.870
Pb: 0.000 0.000 0.625
Pb: 0.500 0.500 0.228